GeMoOs: simulated XRD peak list (λ = 1.5418 Å (Cu Kα)), based on a PBE-relaxed structure.
Peak positions follow from Bragg's law for the DFT cell and can differ from measured ones.

Atomic structure:
a b c (Å): 2.957 2.957 10.146
angles (deg): 90.00 90.00 90.00
Positions (direct):
Ge (0.000, 0.000, 0.000)
Ge (0.500, 0.500, 0.500)
Mo (0.000, 0.000, 0.328)
Mo (0.500, 0.500, 0.828)
Os (0.000, 0.000, 0.654)
Os (0.500, 0.500, 0.154)

The 10 most intense peaks (10 to 90 degrees two-theta), low angle first:
2θ = 17.5°, intensity 16, (0 0 2); 2θ = 31.5°, intensity 16, (1 0 1); 2θ = 40.5°, intensity 100, (1 0 3); 2θ = 43.3°, intensity 42, (1 1 0); 2θ = 47.0°, intensity 6, (1 1 2); 2θ = 54.2°, intensity 10, (0 0 6); 2θ = 62.9°, intensity 14, (2 0 0); 2θ = 71.8°, intensity 18, (1 1 6); 2θ = 77.5°, intensity 30, (2 1 3); 2θ = 87.7°, intensity 11, (2 0 6)